Record 1
Calculated powder diffractogram of La3Pr4Ag for Cu Kα (λ = 1.5418 Å), from DFT lattice parameters and positions (GGA-PBE).

Main lines, most intense first (5 to 70 degrees two-theta):
2θ (°)  d_spacing  I_rel  index
30.12  2.967  100  1 0 4
33.65  2.664  46  1 1 0
58.02  1.590  42  2 1 4
48.32  1.884  16  2 0 0
51.14  1.786  12  1 1 8
47.51  1.914  11  1 1 7
27.45  3.249  10  1 0 3
32.54  2.751  8  0 0 7
37.35  2.407  7  0 0 8
33.27  2.693  7  1 0 5

Structural model:
Cell: 3.767 3.767 19.260 Å, 90.00 90.00 90.00°
Space group P4/mmm (No. 123)
Asymmetric unit:
La 0.000 0.000 0.000
La 0.000 0.000 0.270
Pr 0.500 0.500 0.135
Pr 0.500 0.500 0.402
Ag 0.000 0.000 0.500

=====

Record 2
Calculated powder diffractogram of Sb4Mo for Cu Kα (λ = 1.5418 Å), from DFT lattice parameters and positions (GGA-PBE).

Main lines, most intense first (5 to 70 degrees two-theta):
2θ (°)  d_spacing  I_rel  index
34.49  2.600  100  1 1 2
35.24  2.547  83  2 1 1
46.14  1.967  34  3 0 1
28.81  3.098  31  2 0 0
20.27  4.382  26  1 1 0
41.20  2.191  23  2 2 0
63.56  1.464  21  4 1 1
65.12  1.432  17  2 0 4
54.79  1.675  17  3 1 2
44.54  2.034  14  1 0 3

Structural model:
Cell: 6.197 6.197 6.461 Å, 90.00 90.00 90.00°
Space group I-42m (No. 121)
Asymmetric unit:
Sb 0.193 0.193 0.367
Mo 0.000 0.000 0.000